Structure and computed powder XRD pattern of Co7P6H4O24 (a cell relaxed with PBE+U; copper Kα).
Intensities are scaled so that the largest is 100.

Crystal structure
```
Co7P6H4O24
1.0
6.5360 0.0000 0.0000
-1.5646 7.7751 0.0000
-3.1188 -3.0762 8.5431
Co P H O
7 6 4 24
direct
0.0000 0.0000 0.0000 Co
0.0509 0.7128 0.5139 Co
0.2893 0.8111 0.2869 Co
0.3879 0.4586 0.1087 Co
0.6121 0.5414 0.8913 Co
0.7107 0.1889 0.7131 Co
0.9491 0.2872 0.4861 Co
0.0836 0.5802 0.8262 P
0.2238 0.1455 0.7786 P
0.4140 0.2326 0.3725 P
0.5860 0.7674 0.6275 P
0.7762 0.8545 0.2214 P
0.9164 0.4198 0.1738 P
0.1746 0.8730 0.8083 H
0.3738 0.4213 0.5632 H
0.6262 0.5787 0.4368 H
0.8254 0.1270 0.1917 H
0.0150 0.1727 0.6642 O
0.0524 0.5430 0.6525 O
0.1073 0.7852 0.9008 O
0.1276 0.5410 0.1650 O
0.2030 0.9333 0.7251 O
0.2222 0.1870 0.9460 O
0.2644 0.0503 0.2404 O
0.2759 0.2969 0.4769 O
0.3008 0.5368 0.9121 O
0.3763 0.7921 0.5096 O
0.4476 0.2455 0.7732 O
0.4808 0.3865 0.3113 O
0.5192 0.6135 0.6887 O
0.5524 0.7545 0.2268 O
0.6237 0.2079 0.4904 O
0.6992 0.4632 0.0879 O
0.7241 0.7031 0.5231 O
0.7356 0.9497 0.7596 O
0.7778 0.8130 0.0540 O
0.7970 0.0667 0.2749 O
0.8724 0.4590 0.8350 O
0.8927 0.2148 0.0992 O
0.9476 0.4570 0.3475 O
0.9850 0.8273 0.3358 O
```

Top 10 peaks for 10° ≤ 2θ ≤ 90°, low angle first:
| two_theta | d/Å | Rel. int. |
| --- | --- | --- |
| 18.24 | 4.864 | 19 |
| 20.24 | 4.388 | 26 |
| 27.90 | 3.198 | 39 |
| 29.04 | 3.075 | 18 |
| 29.61 | 3.017 | 100 |
| 32.62 | 2.745 | 14 |
| 32.75 | 2.735 | 14 |
| 33.91 | 2.644 | 14 |
| 36.82 | 2.441 | 14 |
| 57.15 | 1.612 | 20 |

Structure and computed powder XRD pattern of LiNiP3O9 (a cell relaxed with PBE+U; copper Kα).
Intensities are scaled so that the largest is 100.

Crystal structure
```
LiNiP3O9
1.0
5.1937 0.0000 0.0000
0.0000 10.2167 0.0000
0.0000 0.0000 12.7936
Li Ni P O
4 4 12 36
direct
0.0727 0.0623 0.3994 Li
0.4273 0.9377 0.8994 Li
0.5727 0.4377 0.6006 Li
0.9273 0.5623 0.1006 Li
0.0962 0.3873 0.3460 Ni
0.4038 0.6127 0.8460 Ni
0.5962 0.1127 0.6540 Ni
0.9038 0.8873 0.1540 Ni
0.0813 0.2716 0.6919 P
0.1057 0.6271 0.6312 P
0.1153 0.9167 0.6271 P
0.3847 0.0833 0.1271 P
0.3943 0.3729 0.1312 P
0.4187 0.7284 0.1919 P
0.5813 0.2284 0.3081 P
0.6057 0.8729 0.3688 P
0.6153 0.5833 0.3729 P
0.8847 0.4167 0.8729 P
0.8943 0.1271 0.8688 P
0.9187 0.7716 0.8081 P
0.0222 0.0314 0.9381 O
0.0404 0.5080 0.9394 O
0.0635 0.3946 0.7689 O
0.0953 0.1537 0.7735 O
0.1173 0.0459 0.1613 O
0.1213 0.7714 0.5774 O
0.1350 0.4035 0.1818 O
0.1642 0.7292 0.1359 O
0.1669 0.7638 0.8699 O
0.3331 0.2362 0.3699 O
0.3358 0.2708 0.6359 O
0.3650 0.5965 0.6818 O
0.3787 0.2286 0.0774 O
0.3827 0.9541 0.6613 O
0.4047 0.8463 0.2735 O
0.4365 0.6054 0.2689 O
0.4596 0.4920 0.4394 O
0.4778 0.9686 0.4381 O
0.5222 0.4686 0.0619 O
0.5404 0.9920 0.0606 O
0.5635 0.1054 0.2311 O
0.5953 0.3463 0.2265 O
0.6173 0.4541 0.8387 O
0.6213 0.7286 0.4226 O
0.6350 0.0965 0.8182 O
0.6642 0.7708 0.8641 O
0.6669 0.7362 0.1301 O
0.8331 0.2638 0.6301 O
0.8358 0.2292 0.3641 O
0.8650 0.9035 0.3182 O
0.8787 0.2714 0.9226 O
0.8827 0.5459 0.3387 O
0.9047 0.6537 0.7265 O
0.9365 0.8946 0.7311 O
0.9596 0.0080 0.5606 O
0.9778 0.5314 0.5619 O
```

Top 10 peaks for 10° ≤ 2θ ≤ 90°, low angle first:
| two_theta | d/Å | Rel. int. |
| --- | --- | --- |
| 13.84 | 6.397 | 100 |
| 16.35 | 5.422 | 57 |
| 18.44 | 4.812 | 40 |
| 18.70 | 4.744 | 43 |
| 20.40 | 4.353 | 33 |
| 23.72 | 3.751 | 71 |
| 27.90 | 3.198 | 64 |
| 28.46 | 3.137 | 60 |
| 32.20 | 2.780 | 53 |
| 34.49 | 2.601 | 75 |

Structure and computed powder XRD pattern of MgCo6O8F4 (a cell relaxed with PBE+U; copper Kα).
Intensities are scaled so that the largest is 100.

Crystal structure
```
MgCo6O8F4
1.0
4.1420 -3.1141 0.0000
4.1420 3.1141 0.0000
-0.3591 0.0000 8.8052
Mg Co O F
1 6 8 4
direct
0.0000 0.0000 0.0000 Mg
0.2774 0.2774 0.3406 Co
0.2838 0.2838 0.6371 Co
0.3241 0.3241 0.9873 Co
0.6979 0.6979 0.4847 Co
0.7356 0.7356 0.8085 Co
0.7387 0.7387 0.1630 Co
0.0003 0.6141 0.9729 O
0.1744 0.1744 0.1497 O
0.4495 0.4495 0.4704 O
0.5535 0.9280 0.6438 O
0.5678 0.9501 0.3344 O
0.6141 0.0003 0.9729 O
0.9280 0.5535 0.6438 O
0.9501 0.5678 0.3344 O
0.1003 0.1003 0.4802 F
0.1287 0.1287 0.8276 F
0.4717 0.4717 0.8077 F
0.5012 0.5012 0.1353 F
```

Top 10 peaks for 10° ≤ 2θ ≤ 90°, low angle first:
| two_theta | d/Å | Rel. int. |
| --- | --- | --- |
| 21.47 | 4.139 | 100 |
| 28.67 | 3.114 | 76 |
| 35.11 | 2.556 | 36 |
| 35.59 | 2.523 | 15 |
| 35.90 | 2.501 | 28 |
| 36.10 | 2.488 | 15 |
| 46.59 | 1.949 | 20 |
| 48.47 | 1.878 | 22 |
| 55.05 | 1.668 | 18 |
| 55.60 | 1.653 | 16 |